Computed PXRD pattern
Compound: TmSbPd2
Radiation: Cu Kα, 1.54184 Å
Structure: a structure optimized by DFT (GGA-PBE)

Structure:
Cell lengths 6.7805, 6.7805, 6.7805 Å; angles 90.00, 90.00, 90.00 degrees
Positions (direct):
Tm  0.0000  0.0000  0.0000
Tm  0.0000  0.5000  0.5000
Tm  0.5000  0.0000  0.5000
Tm  0.5000  0.5000  0.0000
Sb  0.0000  0.0000  0.5000
Sb  0.0000  0.5000  0.0000
Sb  0.5000  0.0000  0.0000
Sb  0.5000  0.5000  0.5000
Pd  0.2500  0.2500  0.2500
Pd  0.2500  0.2500  0.7500
Pd  0.2500  0.7500  0.2500
Pd  0.2500  0.7500  0.7500
Pd  0.7500  0.2500  0.2500
Pd  0.7500  0.2500  0.7500
Pd  0.7500  0.7500  0.2500
Pd  0.7500  0.7500  0.7500

Largest 10 diffraction maxima, sorted by position, 10 to 90 degrees two-theta:
d [Å]	I_rel
3.915	2
3.390	2
2.397	100
2.044	1
1.957	1
1.695	17
1.516	1
1.384	35
1.199	11
1.130	1



Computed PXRD pattern
Compound: Cs4B9Se9
Radiation: Cu Kα, 1.54184 Å
Structure: a structure optimized by DFT (GGA-PBE)

Structure:
Cell lengths 11.0313, 11.1532, 11.4925 Å; angles 92.83, 102.96, 110.39 degrees
Positions (direct):
Cs  0.1119  0.3679  0.1307
Cs  0.1456  0.0060  0.3733
Cs  0.2534  0.6279  0.4730
Cs  0.3262  0.3823  0.7482
Cs  0.6738  0.6177  0.2518
Cs  0.7466  0.3721  0.5270
Cs  0.8544  0.9940  0.6267
Cs  0.8881  0.6321  0.8693
B  0.1503  0.8230  0.7012
B  0.1780  0.7700  0.1410
B  0.3453  0.9685  0.0194
B  0.3774  0.8655  0.9179
B  0.3856  0.0212  0.8843
B  0.4278  0.2495  0.2516
B  0.4408  0.8747  0.0765
B  0.4569  0.1297  0.0236
B  0.4908  0.0384  0.1403
B  0.5092  0.9616  0.8597
B  0.5431  0.8703  0.9764
B  0.5592  0.1253  0.9235
B  0.5722  0.7505  0.7484
B  0.6144  0.9788  0.1157
B  0.6226  0.1345  0.0821
B  0.6547  0.0315  0.9806
B  0.8220  0.2300  0.8590
B  0.8497  0.1770  0.2988
Se  0.0028  0.2560  0.4340
Se  0.0328  0.6651  0.2015
Se  0.1647  0.9154  0.0544
Se  0.2251  0.7177  0.8071
Se  0.2381  0.0148  0.7407
Se  0.3459  0.7337  0.1637
Se  0.4037  0.3633  0.3673
Se  0.4118  0.2795  0.0795
Se  0.4749  0.1009  0.3013
Se  0.5251  0.8991  0.6987
Se  0.5882  0.7205  0.9205
Se  0.5963  0.6367  0.6327
Se  0.6541  0.2663  0.8363
Se  0.7619  0.9852  0.2593
Se  0.7749  0.2823  0.1929
Se  0.8353  0.0846  0.9456
Se  0.9672  0.3349  0.7985
Se  0.9972  0.7440  0.5660

Largest 10 diffraction maxima, sorted by position, 10 to 90 degrees two-theta:
d [Å]	I_rel
3.711	44
3.649	96
3.556	46
3.449	100
3.437	60
3.207	67
3.179	48
3.135	54
3.010	53
2.876	56



Computed PXRD pattern
Compound: TmI3O9
Radiation: Cu Kα, 1.54184 Å
Structure: a structure optimized by DFT (GGA-PBE)

Structure:
Cell lengths 7.1442, 8.5822, 13.5029 Å; angles 90.00, 100.68, 90.00 degrees
Positions (direct):
Tm  0.1727  0.2458  0.1450
Tm  0.1727  0.2542  0.6450
Tm  0.8273  0.7458  0.3550
Tm  0.8273  0.7542  0.8550
I  0.1651  0.7067  0.1102
I  0.1651  0.7933  0.6102
I  0.2683  0.0196  0.8903
I  0.2683  0.4804  0.3903
I  0.3320  0.5421  0.8566
I  0.3320  0.9579  0.3566
I  0.6680  0.0421  0.6434
I  0.6680  0.4579  0.1434
I  0.7317  0.5196  0.6097
I  0.7317  0.9804  0.1097
I  0.8349  0.2067  0.3898
I  0.8349  0.2933  0.8898
O  0.0185  0.5331  0.3861
O  0.0185  0.9669  0.8861
O  0.0370  0.1702  0.4919
O  0.0370  0.3298  0.9919
O  0.1426  0.6886  0.8232
O  0.1426  0.8114  0.3232
O  0.1605  0.5247  0.1807
O  0.1605  0.9753  0.6807
O  0.2294  0.2074  0.8223
O  0.2294  0.2926  0.3223
O  0.3198  0.0806  0.0218
O  0.3198  0.4194  0.5218
O  0.3360  0.0356  0.2304
O  0.3360  0.4644  0.7304
O  0.3635  0.6678  0.0456
O  0.3635  0.8322  0.5456
O  0.4683  0.1751  0.6378
O  0.4683  0.3249  0.1378
O  0.5317  0.6751  0.8622
O  0.5317  0.8249  0.3622
O  0.6365  0.1678  0.4544
O  0.6365  0.3322  0.9544
O  0.6640  0.5356  0.2696
O  0.6640  0.9644  0.7696
O  0.6802  0.5806  0.4782
O  0.6802  0.9194  0.9782
O  0.7706  0.7074  0.6777
O  0.7706  0.7926  0.1777
O  0.8395  0.0247  0.3193
O  0.8395  0.4753  0.8193
O  0.8574  0.1886  0.6768
O  0.8574  0.3114  0.1768
O  0.9630  0.6702  0.0081
O  0.9630  0.8298  0.5081
O  0.9815  0.0331  0.1139
O  0.9815  0.4669  0.6139

Largest 10 diffraction maxima, sorted by position, 10 to 90 degrees two-theta:
d [Å]	I_rel
3.661	29
3.510	43
3.445	25
3.372	45
3.345	100
3.317	73
3.082	98
2.889	21
2.054	44
1.817	26



Q: What is the formula in the third record?
A: TmI3O9